[1]
Calculated powder X-ray diffraction pattern
Compound: Pr3DyRh8
Radiation: Cu Ka
Structure: a structure optimized by DFT (PBE)
No peak broadening, texture or thermal motion is included.

Atomic structure:
abc: 5.4116 5.4116 26.5411
angles: 90.00 90.00 120.00
Space group R3m (No. 160, hexagonal axes)
One atom of each set of equivalent atoms:
Pr (0.0000, 0.0000, 0.0000) (multiplicity 3)
Pr (0.0000, 0.0000, 0.1254) (multiplicity 3)
Pr (0.0000, 0.0000, 0.6244) (multiplicity 3)
Dy (0.0000, 0.0000, 0.4994) (multiplicity 3)
Rh (0.0000, 0.0000, 0.3123) (multiplicity 3)
Rh (0.0000, 0.0000, 0.8125) (multiplicity 3)
Rh (0.9995, 0.4998, 0.5613) (multiplicity 9)
Rh (0.0010, 0.5005, 0.0634) (multiplicity 9)

Peak list (7 most intense, 5 to 70 degrees two-theta, in order of rising 2θ)
2θ 33.09, I = 38; 2θ 39.02, I = 100; 2θ 40.83, I = 30; 2θ 47.50, I = 1; 2θ 59.12, I = 15; 2θ 63.10, I = 32; 2θ 69.45, I = 26

[2]
Calculated powder X-ray diffraction pattern
Compound: Pr2Dy2Rh3
Radiation: Cu Ka
Structure: a structure optimized by DFT (PBE)
No peak broadening, texture or thermal motion is included.

Atomic structure:
abc: 8.7605 8.7605 8.7605
angles: 90.00 90.00 90.00
Space group I2_13 (No. 199)
One atom of each set of equivalent atoms:
Pr (0.1869, 0.1869, 0.1869) (multiplicity 8)
Dy (0.0564, 0.4436, 0.5564) (multiplicity 8)
Rh (0.0000, 0.2500, 0.8393) (multiplicity 12)

Peak list (10 most intense, 5 to 70 degrees two-theta, in order of rising 2θ)
2θ 28.82, I = 17; 2θ 32.32, I = 100; 2θ 38.45, I = 56; 2θ 48.76, I = 11; 2θ 51.08, I = 12; 2θ 53.32, I = 36; 2θ 57.63, I = 7; 2θ 65.70, I = 19; 2θ 67.64, I = 10; 2θ 69.54, I = 13

[3]
Calculated powder X-ray diffraction pattern
Compound: PrDyS2
Radiation: Cu Ka
Structure: a structure optimized by DFT (PBE)
No peak broadening, texture or thermal motion is included.

Atomic structure:
abc: 3.8995 3.8995 21.0273
angles: 90.00 90.00 120.00
Space group R3m (No. 160, hexagonal axes)
One atom of each set of equivalent atoms:
Pr (0.0000, 0.0000, 0.0000) (multiplicity 3)
Dy (0.0000, 0.0000, 0.8222) (multiplicity 3)
S (0.0000, 0.0000, 0.4150) (multiplicity 3)
S (0.0000, 0.0000, 0.5737) (multiplicity 3)

Peak list (10 most intense, 5 to 70 degrees two-theta, in order of rising 2θ)
2θ 25.42, I = 33; 2θ 26.74, I = 74; 2θ 27.75, I = 36; 2θ 31.49, I = 35; 2θ 34.05, I = 100; 2θ 40.18, I = 42; 2θ 46.58, I = 51; 2θ 51.18, I = 17; 2θ 53.80, I = 28; 2θ 58.94, I = 20